The following is a simulated powder diffraction line list of Pm5Se4Br. It was derived from the PBE geometry in Alexandria, using Cu Kα (weighted mean of Kα1 and Kα2).
No peak broadening, texture or thermal motion is included.

Structural model:
```
Pm5Se4Br
1.0
2.0719 1.1962 17.8774
-2.0719 1.1962 17.8774
0.0000 -2.3924 17.8774
Pm Se Br
5 4 1
Cartesian
0.0000 0.0000 0.0000 Pm
0.0000 0.0000 11.0309 Pm
0.0000 0.0000 21.4138 Pm
0.0000 0.0000 32.2183 Pm
0.0000 0.0000 42.6013 Pm
0.0000 0.0000 5.2292 Se
0.0000 0.0000 16.1222 Se
0.0000 0.0000 37.5100 Se
0.0000 0.0000 48.4029 Se
0.0000 0.0000 26.8161 Br
```

Largest 6 diffraction maxima, in order of rising 2θ, 5° ≤ 2θ ≤ 70°:
2θ (°), I_rel
26.19, 12
29.96, 100
42.06, 35
43.69, 37
53.88, 19
69.44, 14

=====

The following is a simulated powder diffraction line list of MgAlGaAg2. It was derived from the PBE geometry in Alexandria, using Cu Kα (weighted mean of Kα1 and Kα2).
No peak broadening, texture or thermal motion is included.

Structural model:
```
MgAlGaAg2
1.0
1.5258 -6.8406 0.0000
1.5258 6.8406 0.0000
0.0000 0.0000 8.9645
Mg Al Ga Ag
2 2 2 4
Cartesian
1.5258 4.6541 6.7234 Mg
1.5258 -4.6541 2.2411 Mg
0.0000 0.0000 0.0000 Al
0.0000 0.0000 4.4823 Al
1.5258 0.4796 6.7234 Ga
1.5258 -0.4796 2.2411 Ga
1.5258 4.3077 0.8109 Ag
1.5258 4.3077 3.6714 Ag
1.5258 -4.3077 5.2932 Ag
1.5258 -4.3077 8.1536 Ag
```

Largest 6 diffraction maxima, in order of rising 2θ, 5° ≤ 2θ ≤ 70°:
2θ (°), I_rel
16.30, 86
32.70, 41
35.39, 100
40.07, 87
42.87, 94
64.65, 41